1.
Theoretical XRD peak list
Compound: KZnSn2
Radiation: Cu Kα (λ = 1.5418 Å)
Structure: a structure optimized by DFT (GGA-PBE)
No peak broadening, texture or thermal motion is included.

```
KZnSn2
1.0
3.4812 -6.6201 0.0000
3.4812 6.6201 0.0000
0.0000 0.0000 5.4509
K Zn Sn
2 2 4
Direct
0.0000 0.5000 0.0000
0.5000 0.0000 0.5000
0.0000 0.0000 0.2500
0.0000 0.0000 0.7500
0.2563 0.3937 0.5000
0.3937 0.2563 0.0000
0.6063 0.7437 0.0000
0.7437 0.6063 0.5000
```

The 12 most intense peaks (5° ≤ 2θ ≤ 70°), in order of falling intensity:
Position (°2θ), d_spacing, I (rel.)
29.02, 3.077, 100
13.37, 6.620, 85
41.09, 2.197, 31
39.42, 2.286, 30
36.03, 2.493, 27
33.41, 2.682, 25
42.11, 2.146, 19
56.33, 1.633, 15
53.42, 1.715, 15
40.01, 2.254, 14
32.86, 2.725, 13
48.87, 1.864, 10


2.
Theoretical XRD peak list
Compound: LiMgPd2O4
Radiation: Cu Kα (λ = 1.5418 Å)
Structure: a structure optimized by DFT (GGA-PBE)
No peak broadening, texture or thermal motion is included.

```
LiMgPd2O4
1.0
-2.1888 2.1888 4.3140
2.1888 -2.1888 4.3140
2.1888 2.1888 -4.3140
Li Mg Pd O
1 1 2 4
Direct
0.0000 0.0000 0.0000
0.5000 0.5000 0.0000
0.2500 0.7500 0.5000
0.7500 0.2500 0.5000
0.0000 0.5000 0.5000
0.2577 0.2577 0.0000
0.5000 0.0000 0.5000
0.7423 0.7423 0.0000
```

The 12 most intense peaks (5° ≤ 2θ ≤ 70°), in order of falling intensity:
Position (°2θ), d_spacing, I (rel.)
20.59, 4.314, 100
35.70, 2.515, 93
41.25, 2.189, 91
28.84, 3.095, 87
60.24, 1.536, 54
46.53, 1.952, 46
41.88, 2.157, 43
51.65, 1.770, 34
59.75, 1.548, 28
63.90, 1.457, 17
67.68, 1.384, 15
22.78, 3.904, 5


3.
Theoretical XRD peak list
Compound: CsK3Rb4
Radiation: Cu Kα (λ = 1.5418 Å)
Structure: a structure optimized by DFT (GGA-PBE)
No peak broadening, texture or thermal motion is included.

```
CsK3Rb4
1.0
15.9514 0.0000 0.0000
0.0000 10.5503 0.0000
0.0000 0.0000 8.2005
Cs K Rb
2 6 8
Direct
0.0000 0.0000 0.0000
0.5000 0.0000 0.0000
0.0000 0.5000 0.0000
0.2500 0.0000 0.4140
0.2500 0.5000 0.3952
0.5000 0.5000 0.0000
0.7500 0.0000 0.5860
0.7500 0.5000 0.6048
0.0000 0.2619 0.5000
0.0000 0.7381 0.5000
0.2500 0.2615 0.9038
0.2500 0.7385 0.9038
0.5000 0.2619 0.5000
0.5000 0.7381 0.5000
0.7500 0.2615 0.0962
0.7500 0.7385 0.0962
```

The 12 most intense peaks (5° ≤ 2θ ≤ 70°), in order of falling intensity:
Position (°2θ), d_spacing, I (rel.)
22.94, 3.877, 100
22.32, 3.984, 42
39.52, 2.280, 23
21.67, 4.100, 18
41.04, 2.199, 15
31.29, 2.859, 14
33.99, 2.638, 12
43.66, 2.073, 9
24.41, 3.647, 9
20.78, 4.274, 9
46.87, 1.939, 8
40.67, 2.218, 8


Question: Which formula does entry 1 have?
Answer: KZnSn2